[1]
For InAs3O9, the GGA-PBE geometry in Alexandria gives the computed powder diffraction line list in this record (copper Kα).

Principal peaks in the range 2θ = 10–90°, low angle first:
- d 4.183, rel. 100
- d 3.739, rel. 58
- d 3.319, rel. 19
- d 3.043, rel. 20
- d 2.969, rel. 18
- d 2.638, rel. 17
- d 2.614, rel. 20
- d 2.418, rel. 16

Atomic structure:
abc: 7.976 7.976 10.226
angles: 123.53 123.53 51.84
Fractional coordinates of all 26 atoms:
1 In 0.234 0.766 0.500
2 In 0.766 0.234 0.000
3 As 0.034 0.244 0.824
4 As 0.244 0.034 0.324
5 As 0.283 0.443 0.676
6 As 0.443 0.283 0.176
7 As 0.681 0.801 0.223
8 As 0.801 0.681 0.723
9 O 0.079 0.195 0.203
10 O 0.131 0.915 0.327
11 O 0.182 0.380 0.021
12 O 0.195 0.079 0.703
13 O 0.303 0.638 0.673
14 O 0.380 0.182 0.521
15 O 0.388 0.417 0.354
16 O 0.417 0.388 0.854
17 O 0.486 0.808 0.264
18 O 0.513 0.994 0.110
19 O 0.552 0.763 0.577
20 O 0.638 0.303 0.173
21 O 0.763 0.552 0.077
22 O 0.808 0.486 0.764
23 O 0.869 0.871 0.904
24 O 0.871 0.869 0.404
25 O 0.915 0.131 0.827
26 O 0.994 0.513 0.610

[2]
For Cs3Sr2Cl3F4, the GGA-PBE geometry in Alexandria gives the computed powder diffraction line list in this record (copper Kα).

Principal peaks in the range 2θ = 10–90°, low angle first:
- d 3.927, rel. 77
- d 3.677, rel. 100
- d 3.571, rel. 86
- d 2.877, rel. 54
- d 2.842, rel. 31
- d 2.687, rel. 34
- d 2.240, rel. 49
- d 2.169, rel. 39

Atomic structure:
abc: 13.944 13.944 13.944
angles: 156.18 31.12 160.26
Fractional coordinates of all 12 atoms:
1 Cs 0.000 0.000 0.000
2 Cs 0.194 0.999 0.195
3 Cs 0.805 0.999 0.805
4 Sr 0.388 0.001 0.387
5 Sr 0.614 0.001 0.613
6 Cl 0.399 0.500 0.899
7 Cl 0.500 0.000 0.500
8 Cl 0.600 0.500 0.101
9 F 0.119 0.501 0.618
10 F 0.301 0.002 0.299
11 F 0.703 0.002 0.701
12 F 0.883 0.501 0.382